Entry 1:
# AcPmAgHg
Simulated powder X-ray diffraction pattern, a wavelength of 1.5418 Å. Input: a cell relaxed with GGA-PBE.

```
data_AcPmAgHg
_symmetry_space_group_name_H-M 'P 4 m m'
_symmetry_Int_Tables_number 99
_cell_length_a 3.8759
_cell_length_b 3.8759
_cell_length_c 7.8163
_cell_angle_alpha 90.00
_cell_angle_beta 90.00
_cell_angle_gamma 90.00
loop_
_symmetry_equiv_pos_as_xyz
'x,y,z'
'-y,x,z'
'-x,-y,z'
'y,-x,z'
'-x,y,z'
'y,x,z'
'x,-y,z'
'-y,-x,z'
loop_
_atom_site_label
_atom_site_fract_x
_atom_site_fract_y
_atom_site_fract_z
Ac1 0.0000 0.0000 0.0000
Pm1 0.0000 0.0000 0.4889
Ag1 0.5000 0.5000 0.2711
Hg1 0.5000 0.5000 0.7209
```

Peak list (10 most intense, 2θ = 10–90°, low angle first)
- hkl 1 0 1, 2θ = 25.7°, intensity 99
- hkl 1 0 2, 2θ = 32.5°, intensity 1000
- hkl 1 1 0, 2θ = 32.7°, intensity 518
- hkl 0 0 4, 2θ = 46.5°, intensity 81
- hkl 2 0 0, 2θ = 46.9°, intensity 191
- hkl 1 1 4, 2θ = 58.0°, intensity 169
- hkl 2 1 2, 2θ = 58.2°, intensity 383
- hkl 2 0 4, 2θ = 68.1°, intensity 104
- hkl 2 2 0, 2θ = 68.5°, intensity 62
- hkl 3 1 0, 2θ = 77.9°, intensity 170

=====

Entry 2:
# Tb3Sm3Tl
Simulated powder X-ray diffraction pattern, a wavelength of 1.5418 Å. Input: a cell relaxed with GGA-PBE.

```
data_Tb3Sm3Tl
_symmetry_space_group_name_H-M 'P 63/m'
_symmetry_Int_Tables_number 176
_symmetry_space_group_name_Hall '-P 6c'
_cell_length_a 9.4929
_cell_length_b 9.4929
_cell_length_c 5.6223
_cell_angle_alpha 90.00
_cell_angle_beta 90.00
_cell_angle_gamma 120.00
loop_
_atom_site_label
_atom_site_fract_x
_atom_site_fract_y
_atom_site_fract_z
Tb1 0.0618 0.2400 0.2500
Sm1 0.1073 0.4777 0.7500
Tl1 0.3333 0.6667 0.2500
```

Peak list (10 most intense, 2θ = 10–90°, low angle first)
- hkl 2 1 0, 2θ = 28.7°, intensity 235
- hkl 0 0 2, 2θ = 31.8°, intensity 246
- hkl 2 1 1, 2θ = 32.9°, intensity 1000
- hkl 2 1 2, 2θ = 43.4°, intensity 155
- hkl 1 4 0, 2θ = 50.9°, intensity 186
- hkl 2 1 3, 2θ = 57.4°, intensity 206
- hkl 1 4 2, 2θ = 61.3°, intensity 213
- hkl 4 2 1, 2θ = 62.0°, intensity 151
- hkl 7 0 1, 2θ = 84.2°, intensity 121
- hkl 1 4 4, 2θ = 88.3°, intensity 81

=====

Entry 3:
# PmSiGe2Rh2
Simulated powder X-ray diffraction pattern, a wavelength of 1.5418 Å. Input: a cell relaxed with GGA-PBE.

```
data_PmSiGe2Rh2
_symmetry_space_group_name_H-M 'P 4/m m m'
_symmetry_Int_Tables_number 123
_symmetry_space_group_name_Hall '-P 4 2'
_cell_length_a 4.5176
_cell_length_b 4.5176
_cell_length_c 5.5366
_cell_angle_alpha 90.00
_cell_angle_beta 90.00
_cell_angle_gamma 90.00
loop_
_atom_site_label
_atom_site_fract_x
_atom_site_fract_y
_atom_site_fract_z
Pm1 0.0000 0.0000 0.0000
Si1 0.0000 0.0000 0.5000
Ge1 0.5000 0.5000 0.2310
Rh1 0.0000 0.5000 0.5000
```

Peak list (10 most intense, 2θ = 10–90°, low angle first)
- hkl 1 0 1, 2θ = 25.4°, intensity 134
- hkl 1 1 1, 2θ = 32.4°, intensity 1000
- hkl 1 0 2, 2θ = 38.1°, intensity 489
- hkl 2 0 0, 2θ = 39.9°, intensity 599
- hkl 1 1 2, 2θ = 43.2°, intensity 127
- hkl 2 1 2, 2θ = 56.4°, intensity 310
- hkl 2 2 0, 2θ = 57.7°, intensity 308
- hkl 0 0 4, 2θ = 67.7°, intensity 314
- hkl 2 0 4, 2θ = 81.6°, intensity 137
- hkl 4 0 0, 2θ = 86.1°, intensity 134

=====

Entry 4:
# Y5Bi4N
Simulated powder X-ray diffraction pattern, a wavelength of 1.5418 Å. Input: a cell relaxed with GGA-PBE.

```
data_Y5Bi4N
_symmetry_space_group_name_H-M 'I 4'
_symmetry_Int_Tables_number 79
_cell_length_a 9.5216
_cell_length_b 9.5216
_cell_length_c 6.3097
_cell_angle_alpha 90.00
_cell_angle_beta 90.00
_cell_angle_gamma 90.00
loop_
_symmetry_equiv_pos_as_xyz
'x,y,z'
'-y,x,z'
'-x,-y,z'
'y,-x,z'
'x+1/2,y+1/2,z+1/2'
'-y+1/2,x+1/2,z+1/2'
'-x+1/2,-y+1/2,z+1/2'
'y+1/2,-x+1/2,z+1/2'
loop_
_atom_site_label
_atom_site_fract_x
_atom_site_fract_y
_atom_site_fract_z
Y1 0.0000 0.0000 0.0000
Y2 0.0965 0.2506 0.4163
Bi1 0.0823 0.3101 0.9132
N1 0.0000 0.0000 0.3578
```

Peak list (10 most intense, 2θ = 10–90°, low angle first)
- hkl 2 1 1, 2θ = 25.2°, intensity 417
- hkl 0 0 2, 2θ = 28.3°, intensity 586
- hkl 1 3 0, 2θ = 29.7°, intensity 1000
- hkl 3 0 1, 2θ = 31.6°, intensity 276
- hkl 3 2 1, 2θ = 36.9°, intensity 204
- hkl 1 3 2, 2θ = 41.5°, intensity 774
- hkl 4 2 0, 2θ = 42.5°, intensity 297
- hkl 3 4 1, 2θ = 50.0°, intensity 217
- hkl 4 2 2, 2θ = 51.8°, intensity 313
- hkl 1 3 4, 2θ = 67.0°, intensity 171

=====

Entry 5:
# LaPr3Er7
Simulated powder X-ray diffraction pattern, a wavelength of 1.5418 Å. Input: a cell relaxed with GGA-PBE.

```
data_LaPr3Er7
_symmetry_space_group_name_H-M 'C 1 2/m 1'
_symmetry_Int_Tables_number 12
_cell_length_a 12.6790
_cell_length_b 11.2692
_cell_length_c 5.8672
_cell_angle_alpha 90.00
_cell_angle_beta 117.47
_cell_angle_gamma 90.00
loop_
_symmetry_equiv_pos_as_xyz
'x,y,z'
'-x,-y,-z'
'-x,y,-z'
'x,-y,z'
'x+1/2,y+1/2,z'
'-x+1/2,-y+1/2,-z'
'-x+1/2,y+1/2,-z'
'x+1/2,-y+1/2,z'
loop_
_atom_site_label
_atom_site_fract_x
_atom_site_fract_y
_atom_site_fract_z
La1 0.0000 0.0000 0.0000
Pr1 0.0000 0.2877 0.5000
Pr2 0.0000 0.5000 0.0000
Er1 0.0000 0.0000 0.5000
Er2 0.2041 0.5000 0.7033
Er3 0.2133 0.3089 0.2132
```

Peak list (10 most intense, 2θ = 10–90°, low angle first)
- hkl 3 1 0, 2θ = 25.0°, intensity 174
- hkl 1 3 -1, 2θ = 28.2°, intensity 142
- hkl 2 0 -2, 2θ = 30.5°, intensity 394
- hkl 4 0 0, 2θ = 31.8°, intensity 309
- hkl 3 3 -1, 2θ = 32.5°, intensity 1000
- hkl 1 1 2, 2θ = 39.8°, intensity 103
- hkl 6 0 -2, 2θ = 44.6°, intensity 243
- hkl 5 3 -3, 2θ = 55.4°, intensity 220
- hkl 6 2 1, 2θ = 62.0°, intensity 123
- hkl 3 5 2, 2θ = 66.8°, intensity 85

=====

Entry 6:
# AlZn6Ga2
Simulated powder X-ray diffraction pattern, a wavelength of 1.5418 Å. Input: a cell relaxed with GGA-PBE.

```
data_AlZn6Ga2
_symmetry_space_group_name_H-M 'P -1'
_symmetry_Int_Tables_number 2
_cell_length_a 2.7808
_cell_length_b 7.2281
_cell_length_c 7.2480
_cell_angle_alpha 90.02
_cell_angle_beta 95.81
_cell_angle_gamma 94.01
loop_
_symmetry_equiv_pos_as_xyz
'x,y,z'
'-x,-y,-z'
loop_
_atom_site_label
_atom_site_fract_x
_atom_site_fract_y
_atom_site_fract_z
Al1 0.0000 0.0000 0.0000
Zn1 0.1435 0.3222 0.2315
Zn2 0.2311 0.6634 0.4480
Zn3 0.3319 0.0014 0.6627
Ga1 0.4538 0.3363 0.8878
```

Peak list (10 most intense, 2θ = 10–90°, low angle first)
- hkl 0 0 1, 2θ = 12.3°, intensity 89
- hkl 0 3 0, 2θ = 37.4°, intensity 1000
- hkl 0 1 3, 2θ = 39.6°, intensity 432
- hkl 1 1 -2, 2θ = 41.7°, intensity 371
- hkl 0 2 -3, 2θ = 45.2°, intensity 287
- hkl 1 2 1, 2θ = 45.5°, intensity 571
- hkl 1 -4 1, 2θ = 61.4°, intensity 104
- hkl 1 0 4, 2θ = 64.6°, intensity 93
- hkl 0 4 3, 2θ = 64.9°, intensity 95
- hkl 1 3 4, 2θ = 78.8°, intensity 101

=====

Entry 7:
# Er2Si5Pt3
Simulated powder X-ray diffraction pattern, a wavelength of 1.5418 Å. Input: a cell relaxed with GGA-PBE.

```
data_Er2Si5Pt3
_symmetry_space_group_name_H-M 'C 1 2/c 1'
_symmetry_Int_Tables_number 15
_cell_length_a 11.6607
_cell_length_b 11.3084
_cell_length_c 6.0248
_cell_angle_alpha 90.00
_cell_angle_beta 120.90
_cell_angle_gamma 90.00
loop_
_symmetry_equiv_pos_as_xyz
'x,y,z'
'-x,-y,-z'
'-x,y,-z+1/2'
'x,-y,z+1/2'
'x+1/2,y+1/2,z'
'-x+1/2,-y+1/2,-z'
'-x+1/2,y+1/2,-z+1/2'
'x+1/2,-y+1/2,z+1/2'
loop_
_atom_site_label
_atom_site_fract_x
_atom_site_fract_y
_atom_site_fract_z
Er1 0.2288 0.1293 0.2279
Si1 0.0000 0.0002 0.2500
Si2 0.0000 0.2714 0.2500
Si3 0.0000 0.2717 0.7500
Si4 0.1510 0.3865 0.1514
Pt1 0.0000 0.5005 0.2500
Pt2 0.1144 0.1373 0.6141
```

Peak list (10 most intense, 2θ = 10–90°, low angle first)
- hkl 3 1 -1, 2θ = 24.4°, intensity 210
- hkl 1 3 0, 2θ = 25.2°, intensity 436
- hkl 3 1 0, 2θ = 27.9°, intensity 269
- hkl 2 0 -2, 2θ = 29.7°, intensity 225
- hkl 1 1 -2, 2θ = 32.0°, intensity 398
- hkl 4 2 -1, 2θ = 34.6°, intensity 1000
- hkl 4 0 -2, 2θ = 34.8°, intensity 195
- hkl 2 4 0, 2θ = 36.5°, intensity 330
- hkl 2 4 -2, 2θ = 43.9°, intensity 660
- hkl 2 6 1, 2θ = 58.3°, intensity 202